(1)
This entry pairs a crystal structure of BePb3 with its simulated X-ray powder pattern. Radiation: Cu Kα (λ = 1.5418 Å). Structure: a GGA-PBE-relaxed structure.
No peak broadening, texture or thermal motion is included.

Most intense lines, 10° ≤ 2θ ≤ 90°, by angle:
2θ/deg  d [Å]  I_rel
21.0  4.232  290
32.4  2.762  1000
35.4  2.536  199
38.7  2.328  314
53.4  1.715  251
55.8  1.646  110
61.7  1.504  165
66.1  1.414  269
67.9  1.381  125
87.9  1.110  134

Unit cell a=6.0473 b=6.0473 c=6.0473 alpha=134.72 beta=134.72 gamma=65.97
Sites, in units of the cell vectors:
Be (0.0000, 0.0000, 0.0000)
Pb (0.2500, 0.7500, 0.5000)
Pb (0.5000, 0.5000, 0.0000)
Pb (0.7500, 0.2500, 0.5000)

(2)
This entry pairs a crystal structure of BePd with its simulated X-ray powder pattern. Radiation: Cu Kα (λ = 1.5418 Å). Structure: a GGA-PBE-relaxed structure.
No peak broadening, texture or thermal motion is included.

Most intense lines, 10° ≤ 2θ ≤ 90°, by angle:
2θ/deg  d [Å]  I_rel
31.6  2.832  1000
45.3  2.003  909
56.3  1.635  254
66.0  1.416  144
75.0  1.267  317
83.6  1.156  299

Unit cell a=2.8322 b=2.8322 c=2.8322 alpha=90.00 beta=90.00 gamma=90.00
Sites, in units of the cell vectors:
Be (0.0000, 0.0000, 0.0000)
Pd (0.5000, 0.5000, 0.5000)

What did the first record say?
This entry pairs a crystal structure of BePb3 with its simulated X-ray powder pattern. Radiation: Cu Kα (λ = 1.5418 Å). Structure: a GGA-PBE-relaxed structure.
No peak broadening, texture or thermal motion is included.

Most intense lines, 10° ≤ 2θ ≤ 90°, by angle:
2θ/deg  d [Å]  I_rel
21.0  4.232  290
32.4  2.762  1000
35.4  2.536  199
38.7  2.328  314
53.4  1.715  251
55.8  1.646  110
61.7  1.504  165
66.1  1.414  269
67.9  1.381  125
87.9  1.110  134

Unit cell a=6.0473 b=6.0473 c=6.0473 alpha=134.72 beta=134.72 gamma=65.97
Sites, in units of the cell vectors:
Be (0.0000, 0.0000, 0.0000)
Pb (0.2500, 0.7500, 0.5000)
Pb (0.5000, 0.5000, 0.0000)
Pb (0.7500, 0.2500, 0.5000)